The following is a calculated powder diffractogram of BaCaCr4O12. It was derived from a structure optimized by DFT (PBE+U), using Cu Kα X-rays.
Peak positions follow from Bragg's law for the DFT cell and can differ from measured ones.

a = 5.3751 Å, b = 5.3751 Å, c = 7.6289 Å
α = 90.00°, β = 90.00°, γ = 90.00°
Space group P4/mmm (No. 123)
Inequivalent atoms, fractional coordinates:
Ba 0.0000 0.0000 0.0000 [1 per cell]
Ca 0.5000 0.5000 0.5000 [1 per cell]
Cr 0.0000 0.5000 0.2535 [4 per cell]
O 0.0000 0.5000 0.0000 [2 per cell]
O 0.0000 0.5000 0.5000 [2 per cell]
O 0.2546 0.2546 0.2600 [8 per cell]

Largest 12 diffraction maxima, by intensity, 5 to 70 degrees two-theta:
Position (°2θ)	I_rel
33.3	1000
20.2	693
47.9	356
39.3	241
59.5	239
69.9	189
47.7	177
23.4	167
52.4	154
59.4	122
16.5	122
39.2	121

***

The following is a calculated powder diffractogram of LiFeF4. It was derived from a structure optimized by DFT (PBE+U), using Cu Kα X-rays.
Peak positions follow from Bragg's law for the DFT cell and can differ from measured ones.

a = 6.1270 Å, b = 4.7209 Å, c = 10.0960 Å
α = 90.00°, β = 91.81°, γ = 90.00°
Space group Pc (No. 7)
Inequivalent atoms, fractional coordinates:
Li 0.0000 0.2256 0.0000 [2 per cell]
Li 0.4761 0.2492 0.4514 [2 per cell]
Fe 0.2475 0.2526 0.7249 [2 per cell]
Fe 0.7481 0.2537 0.7234 [2 per cell]
F 0.0026 0.0243 0.7924 [2 per cell]
F 0.2376 0.0516 0.5603 [2 per cell]
F 0.2562 0.4510 0.8885 [2 per cell]
F 0.4924 0.4768 0.6540 [2 per cell]
F 0.4985 0.0119 0.7933 [2 per cell]
F 0.7357 0.0575 0.5596 [2 per cell]
F 0.7623 0.4399 0.8884 [2 per cell]
F 0.9962 0.4923 0.6540 [2 per cell]

Largest 12 diffraction maxima, by intensity, 5 to 70 degrees two-theta:
Position (°2θ)	I_rel
20.8	1000
17.6	574
35.8	200
36.3	184
40.5	161
52.5	159
32.7	154
38.9	154
51.8	152
39.8	130
29.2	126
53.1	106

***

The following is a calculated powder diffractogram of Li2MoO3. It was derived from a structure optimized by DFT (PBE+U), using Cu Kα X-rays.
Peak positions follow from Bragg's law for the DFT cell and can differ from measured ones.

a = 6.0635 Å, b = 6.0647 Å, c = 13.5534 Å
α = 77.49°, β = 77.40°, γ = 89.35°
Space group P1 (No. 1)
Inequivalent atoms, fractional coordinates:
Li 0.0000 0.0000 0.0000 [1 per cell]
Li 0.0026 0.0004 0.4907 [1 per cell]
Li 0.0070 0.5019 0.4891 [1 per cell]
Li 0.1552 0.6829 0.6635 [1 per cell]
Li 0.1700 0.1517 0.1637 [1 per cell]
Li 0.1726 0.1648 0.6563 [1 per cell]
Li 0.3264 0.8468 0.8223 [1 per cell]
Li 0.3289 0.3312 0.8256 [1 per cell]
Li 0.3412 0.3310 0.3147 [1 per cell]
Li 0.5034 0.0009 0.9946 [1 per cell]
Li 0.6765 0.6661 0.1650 [1 per cell]
Li 0.6804 0.6789 0.6612 [1 per cell]
Li 0.6830 0.1470 0.1646 [1 per cell]
Li 0.8385 0.8277 0.8273 [1 per cell]
Li 0.8581 0.8413 0.3157 [1 per cell]
Li 0.8626 0.3224 0.3186 [1 per cell]
Mo 0.0072 0.5013 0.9950 [1 per cell]
Mo 0.1727 0.6682 0.1548 [1 per cell]
Mo 0.3328 0.8375 0.3290 [1 per cell]
Mo 0.5012 0.5005 0.9932 [1 per cell]
Mo 0.5055 0.9991 0.4922 [1 per cell]
Mo 0.5071 0.5060 0.4913 [1 per cell]
Mo 0.6847 0.1618 0.6636 [1 per cell]
Mo 0.8423 0.3222 0.8181 [1 per cell]
O 0.0611 0.1055 0.8223 [1 per cell]
O 0.0689 0.5647 0.8315 [1 per cell]
O 0.1064 0.0697 0.3284 [1 per cell]
O 0.1128 0.5942 0.3211 [1 per cell]
O 0.2457 0.2619 0.9891 [1 per cell]
O 0.2486 0.7518 0.4982 [1 per cell]
O 0.2531 0.7614 0.9860 [1 per cell]
O 0.2789 0.2527 0.4925 [1 per cell]
O 0.4116 0.8958 0.1645 [1 per cell]
O 0.4154 0.4198 0.1575 [1 per cell]
O 0.4342 0.9320 0.6530 [1 per cell]
O 0.4428 0.4116 0.6502 [1 per cell]
O 0.5852 0.5859 0.3343 [1 per cell]
O 0.5871 0.0681 0.3330 [1 per cell]
O 0.5871 0.0879 0.8232 [1 per cell]
O 0.6087 0.5558 0.8248 [1 per cell]
O 0.7384 0.7498 0.4953 [1 per cell]
O 0.7548 0.2495 0.4954 [1 per cell]
O 0.7623 0.2530 0.9840 [1 per cell]
O 0.7664 0.7371 0.9905 [1 per cell]
O 0.9145 0.9367 0.6592 [1 per cell]
O 0.9208 0.4195 0.6611 [1 per cell]
O 0.9326 0.4182 0.1546 [1 per cell]
O 0.9367 0.8967 0.1590 [1 per cell]

Largest 12 diffraction maxima, by intensity, 5 to 70 degrees two-theta:
Position (°2θ)	I_rel
17.8	1000
34.7	334
41.9	240
42.0	236
42.4	228
34.8	162
20.8	140
61.1	134
61.2	132
15.0	128
46.3	123
36.1	108

***

The following is a calculated powder diffractogram of K5Na3Nb6W2O24. It was derived from a structure optimized by DFT (PBE+U), using Cu Kα X-rays.
Peak positions follow from Bragg's law for the DFT cell and can differ from measured ones.

a = 8.0784 Å, b = 11.4340 Å, c = 11.3606 Å
α = 90.00°, β = 90.00°, γ = 90.00°
Space group Amm2 (No. 38)
Inequivalent atoms, fractional coordinates:
K 0.0000 0.0000 0.0000 [2 per cell]
K 0.0000 0.0000 0.5000 [2 per cell]
K 0.0000 0.2489 0.2504 [4 per cell]
K 0.5000 0.0000 0.5008 [2 per cell]
Na 0.5000 0.0000 0.0011 [2 per cell]
Na 0.5000 0.2488 0.2505 [4 per cell]
Nb 0.2520 0.0000 0.2497 [4 per cell]
Nb 0.2519 0.2492 0.0003 [8 per cell]
W 0.2516 0.0000 0.7509 [4 per cell]
O 0.0000 0.0000 0.2500 [2 per cell]
O 0.0000 0.0000 0.7487 [2 per cell]
O 0.0000 0.2498 0.0002 [4 per cell]
O 0.2523 0.1255 0.3747 [8 per cell]
O 0.2517 0.1259 0.6285 [8 per cell]
O 0.2537 0.1245 0.1251 [8 per cell]
O 0.2543 0.1250 0.8734 [8 per cell]
O 0.5000 0.0000 0.2488 [2 per cell]
O 0.5000 0.0000 0.7544 [2 per cell]
O 0.5000 0.2483 0.0008 [4 per cell]

Largest 12 diffraction maxima, by intensity, 5 to 70 degrees two-theta:
Position (°2θ)	I_rel
31.3	1000
22.0	800
45.0	309
55.7	233
31.5	198
65.4	180
50.5	167
44.9	156
56.0	153
50.6	111
11.0	106
55.9	77

***

The following is a calculated powder diffractogram of Li3Mn2Si2O8. It was derived from a structure optimized by DFT (PBE+U), using Cu Kα X-rays.
Peak positions follow from Bragg's law for the DFT cell and can differ from measured ones.

a = 5.2758 Å, b = 10.8081 Å, c = 6.3293 Å
α = 90.00°, β = 90.95°, γ = 90.00°
Space group P2_1 (No. 4)
Inequivalent atoms, fractional coordinates:
Li 0.0329 0.0000 0.2406 [2 per cell]
Li 0.0451 0.9998 0.7589 [2 per cell]
Li 0.4553 0.6627 0.7520 [2 per cell]
Mn 0.0699 0.7470 0.0181 [2 per cell]
Mn 0.4366 0.9119 0.5063 [2 per cell]
Si 0.0553 0.2476 0.4908 [2 per cell]
Si 0.4382 0.4049 0.9985 [2 per cell]
O 0.0067 0.6690 0.2986 [2 per cell]
O 0.0601 0.8924 0.4959 [2 per cell]
O 0.0608 0.6719 0.7156 [2 per cell]
O 0.1263 0.4187 0.0011 [2 per cell]
O 0.3637 0.2654 0.4613 [2 per cell]
O 0.4357 0.9724 0.7863 [2 per cell]
O 0.4536 0.9790 0.2169 [2 per cell]
O 0.4629 0.7635 0.0032 [2 per cell]

Largest 12 diffraction maxima, by intensity, 5 to 70 degrees two-theta:
Position (°2θ)	I_rel
23.6	1000
16.4	559
32.8	450
34.0	363
33.2	354
28.2	348
59.0	237
33.4	172
47.6	171
58.3	121
60.1	105
69.6	102